No. 1
This entry pairs a crystal structure of La2Ni12P7 with its computed X-ray diffraction stick pattern. Radiation: Cu Kα (λ = 1.5418 Å). Structure: DFT lattice parameters and positions (GGA-PBE).

Top 6 peaks for 2θ = 10–90°, in order of rising 2θ:
d [Å], 2θ/deg, Rel. int., h k l
2.348, 38.3, 100, 2 1 1
1.978, 45.9, 11, 4 0 0
1.899, 47.9, 11, 1 3 1
1.895, 48.0, 20, 0 0 2
1.726, 53.0, 13, 1 4 0
1.637, 56.2, 12, 3 2 1

Crystal structure
```
data_La2Ni12P7
_cell_length_a 9.1356
_cell_length_b 9.1356
_cell_length_c 3.7905
_cell_angle_alpha 90.00
_cell_angle_beta 90.00
_cell_angle_gamma 120.00
_space_group_name_H-M_alt 'P -6'
_space_group_IT_number 174
loop_
_space_group_symop_operation_xyz
'x,y,z'
'-x+y,-x,-z'
'-y,x-y,z'
'x,y,-z'
'-x+y,-x,z'
'-y,x-y,-z'
loop_
_atom_site_label
_atom_site_fract_x
_atom_site_fract_y
_atom_site_fract_z
La1 0.0000 0.0000 0.0000
La2 0.3333 0.6667 0.5000
Ni1 0.0389 0.2738 0.5000
Ni2 0.0918 0.7103 0.0000
Ni3 0.4595 0.2188 0.0000
Ni4 0.5199 0.4575 0.5000
P1 0.0627 0.4323 0.0000
P2 0.2657 0.2297 0.5000
P3 0.6667 0.3333 0.5000
```

---

No. 2
This entry pairs a crystal structure of NaLa2PdO5 with its computed X-ray diffraction stick pattern. Radiation: Cu Kα (λ = 1.5418 Å). Structure: DFT lattice parameters and positions (GGA-PBE).

Top 6 peaks for 2θ = 10–90°, in order of rising 2θ:
d [Å], 2θ/deg, Rel. int., h k l
5.859, 15.1, 39, 0 0 1
4.915, 18.0, 48, 1 1 0
2.989, 29.9, 100, 2 0 1
2.746, 32.6, 73, 2 1 1
2.132, 42.4, 55, 2 1 2
2.058, 44.0, 40, 3 1 1

Crystal structure
```
data_NaLa2PdO5
_cell_length_a 6.9503
_cell_length_b 6.9503
_cell_length_c 5.8594
_cell_angle_alpha 90.00
_cell_angle_beta 90.00
_cell_angle_gamma 90.00
_space_group_name_H-M_alt 'P 4/m b m'
_space_group_IT_number 127
_space_group_name_Hall '-P 4 2ab'
loop_
_atom_site_label
_atom_site_fract_x
_atom_site_fract_y
_atom_site_fract_z
Na1 0.0000 0.0000 0.0000
La1 0.1780 0.3220 0.5000
Pd1 0.0000 0.5000 0.0000
O1 0.0000 0.0000 0.5000
O2 0.1364 0.6364 0.2493
```

---

No. 3
This entry pairs a crystal structure of Dy6TmSc3 with its computed X-ray diffraction stick pattern. Radiation: Cu Kα (λ = 1.5418 Å). Structure: DFT lattice parameters and positions (GGA-PBE).

Top 6 peaks for 2θ = 10–90°, in order of rising 2θ:
d [Å], 2θ/deg, Rel. int., h k l
5.114, 17.3, 33, 0 2 1
3.013, 29.6, 100, 2 4 1
2.910, 30.7, 48, 0 2 2
2.754, 32.5, 72, 0 6 1
2.543, 35.3, 69, 2 2 2
1.515, 61.2, 31, 2 10 2

Crystal structure
```
data_Dy6TmSc3
_cell_length_a 10.4299
_cell_length_b 18.4880
_cell_length_c 6.1384
_cell_angle_alpha 90.00
_cell_angle_beta 90.00
_cell_angle_gamma 90.00
_space_group_name_H-M_alt 'C m c 21'
_space_group_IT_number 36
loop_
_space_group_symop_operation_xyz
'x,y,z'
'-x,-y,z+1/2'
'-x,y,z'
'x,-y,z+1/2'
'x+1/2,y+1/2,z'
'-x+1/2,-y+1/2,z+1/2'
'-x+1/2,y+1/2,z'
'x+1/2,-y+1/2,z+1/2'
loop_
_atom_site_label
_atom_site_fract_x
_atom_site_fract_y
_atom_site_fract_z
Dy1 0.0000 0.0470 0.0000
Dy2 0.0000 0.2987 0.2019
Dy3 0.1665 0.4621 0.3331
Dy4 0.2444 0.2042 0.0125
Tm1 0.0000 0.2095 0.6893
Sc1 0.0000 0.3861 0.7593
Sc2 0.1869 0.1136 0.4377
```

---

No. 4
This entry pairs a crystal structure of CsKRb4 with its computed X-ray diffraction stick pattern. Radiation: Cu Kα (λ = 1.5418 Å). Structure: DFT lattice parameters and positions (GGA-PBE).

Top 6 peaks for 2θ = 10–90°, in order of rising 2θ:
d [Å], 2θ/deg, Rel. int., h k l
4.139, 21.5, 100, 1 1 1
4.118, 21.6, 99, 1 1 -2
3.642, 24.4, 37, 2 0 -1
3.601, 24.7, 36, 0 2 0
2.507, 35.8, 39, 0 2 3
2.167, 41.7, 34, 1 3 1

Crystal structure
```
data_CsKRb4
_cell_length_a 7.2837
_cell_length_b 7.2013
_cell_length_c 11.0569
_cell_angle_alpha 90.00
_cell_angle_beta 108.80
_cell_angle_gamma 90.00
_space_group_name_H-M_alt 'P 1 m 1'
_space_group_IT_number 6
loop_
_space_group_symop_operation_xyz
'x,y,z'
'x,-y,z'
loop_
_atom_site_label
_atom_site_fract_x
_atom_site_fract_y
_atom_site_fract_z
Cs1 0.0000 0.0000 0.0000
K1 0.8319 0.5000 0.6644
Rb1 0.1754 0.5000 0.3507
Rb2 0.3328 0.0000 0.6658
Rb3 0.4999 0.5000 0.0000
Rb4 0.6756 0.0000 0.3511
```

---

No. 5
This entry pairs a crystal structure of TeRhCl with its computed X-ray diffraction stick pattern. Radiation: Cu Kα (λ = 1.5418 Å). Structure: DFT lattice parameters and positions (GGA-PBE).

Top 6 peaks for 2θ = 10–90°, in order of rising 2θ:
d [Å], 2θ/deg, Rel. int., h k l
6.283, 14.1, 92, 0 0 1
2.870, 31.2, 100, 1 0 1
2.251, 40.1, 68, 1 0 2
1.863, 48.9, 33, 1 1 0
1.786, 51.1, 20, 1 1 1
1.757, 52.1, 29, 0 1 3

Crystal structure
```
data_TeRhCl
_cell_length_a 3.7254
_cell_length_b 3.7254
_cell_length_c 6.2835
_cell_angle_alpha 90.00
_cell_angle_beta 90.00
_cell_angle_gamma 120.00
_space_group_name_H-M_alt 'P 3 m 1'
_space_group_IT_number 156
loop_
_space_group_symop_operation_xyz
'x,y,z'
'-y,x-y,z'
'-x+y,-x,z'
'-y,-x,z'
'-x+y,y,z'
'x,x-y,z'
loop_
_atom_site_label
_atom_site_fract_x
_atom_site_fract_y
_atom_site_fract_z
Te1 0.0000 0.0000 0.0000
Rh1 0.3333 0.6667 0.7756
Cl1 0.6667 0.3333 0.5442
```

---

No. 6
This entry pairs a crystal structure of Yb3Sn13Rh4 with its computed X-ray diffraction stick pattern. Radiation: Cu Kα (λ = 1.5418 Å). Structure: DFT lattice parameters and positions (GGA-PBE).

Top 6 peaks for 2θ = 10–90°, in order of rising 2θ:
d [Å], 2θ/deg, Rel. int., h k l
2.712, 33.0, 100, 3 2 0
2.613, 34.3, 38, 3 2 1
2.445, 36.8, 22, 4 0 0
1.996, 45.4, 18, 4 2 2
1.586, 58.2, 17, 5 3 2
1.474, 63.1, 14, 6 2 2

Crystal structure
```
data_Yb3Sn13Rh4
_cell_length_a 9.7788
_cell_length_b 9.7788
_cell_length_c 9.7788
_cell_angle_alpha 90.00
_cell_angle_beta 90.00
_cell_angle_gamma 90.00
_space_group_name_H-M_alt 'P m -3 n'
_space_group_IT_number 223
_space_group_name_Hall '-P 4n 2 3'
loop_
_atom_site_label
_atom_site_fract_x
_atom_site_fract_y
_atom_site_fract_z
Yb1 0.0000 0.2500 0.5000
Sn1 0.0000 0.0000 0.0000
Sn2 0.0000 0.3067 0.1530
Rh1 0.2500 0.2500 0.2500
```

---

No. 7
This entry pairs a crystal structure of Sr3SiI3 with its computed X-ray diffraction stick pattern. Radiation: Cu Kα (λ = 1.5418 Å). Structure: DFT lattice parameters and positions (GGA-PBE).

Top 6 peaks for 2θ = 10–90°, in order of rising 2θ:
d [Å], 2θ/deg, Rel. int., h k l
3.542, 25.1, 25, 3 2 1
3.313, 26.9, 100, 4 0 0
2.343, 38.4, 75, 4 4 0
1.913, 47.5, 26, 4 4 4
1.482, 62.7, 33, 8 4 0
1.353, 69.5, 24, 8 4 4

Crystal structure
```
data_Sr3SiI3
_cell_length_a 13.2528
_cell_length_b 13.2528
_cell_length_c 13.2528
_cell_angle_alpha 90.00
_cell_angle_beta 90.00
_cell_angle_gamma 90.00
_space_group_name_H-M_alt 'I 41 3 2'
_space_group_IT_number 214
_space_group_name_Hall 'I 4bd 2c 3'
loop_
_atom_site_label
_atom_site_fract_x
_atom_site_fract_y
_atom_site_fract_z
Sr1 0.1148 0.3648 0.1250
Si1 0.1250 0.1250 0.1250
I1 0.1220 0.1280 0.6250
```

---

No. 8
This entry pairs a crystal structure of Ba4SnTe5 with its computed X-ray diffraction stick pattern. Radiation: Cu Kα (λ = 1.5418 Å). Structure: DFT lattice parameters and positions (GGA-PBE).

Top 6 peaks for 2θ = 10–90°, in order of rising 2θ:
d [Å], 2θ/deg, Rel. int., h k l
3.523, 25.3, 49, 0 0 2
3.486, 25.6, 100, 1 3 0
2.478, 36.3, 77, 1 3 2
2.465, 36.4, 39, 4 2 0
2.020, 44.9, 41, 4 2 2
1.426, 65.5, 26, 7 1 2

Crystal structure
```
data_Ba4SnTe5
_cell_length_a 11.0237
_cell_length_b 11.0237
_cell_length_c 7.0458
_cell_angle_alpha 90.00
_cell_angle_beta 90.00
_cell_angle_gamma 90.00
_space_group_name_H-M_alt 'I 4'
_space_group_IT_number 79
loop_
_space_group_symop_operation_xyz
'x,y,z'
'-y,x,z'
'-x,-y,z'
'y,-x,z'
'x+1/2,y+1/2,z+1/2'
'-y+1/2,x+1/2,z+1/2'
'-x+1/2,-y+1/2,z+1/2'
'y+1/2,-x+1/2,z+1/2'
loop_
_atom_site_label
_atom_site_fract_x
_atom_site_fract_y
_atom_site_fract_z
Ba1 0.0985 0.2999 0.0000
Sn1 0.0000 0.0000 0.4665
Te1 0.0000 0.0000 0.0426
Te2 0.0964 0.2888 0.4986
```